# 1
Diffraction record for BC11. The X-ray diffraction stick pattern is computed, not measured: it uses a cell relaxed with PBE and Cu Kα (λ = 1.5418 Å).

Structure:
a b c (Å): 4.4380 2.5249 6.2751
angles (deg): 90.00 90.39 90.00
Fractional coordinates of all 12 atoms:
B1 0.0000 0.0000 0.0000
C1 0.0073 0.0000 0.2528
C2 0.1799 0.5000 0.6584
C3 0.1924 0.5000 0.8997
C4 0.3426 0.0000 0.3269
C5 0.3463 0.0000 0.5733
C6 0.5070 0.5000 0.9918
C7 0.5079 0.5000 0.2436
C8 0.6693 0.0000 0.9077
C9 0.6753 0.0000 0.6617
C10 0.8415 0.5000 0.3320
C11 0.8414 0.5000 0.5802

Most intense lines, 2θ from 10° to 90°, sorted by position:
Position (°2θ), d (Å), Rel. int.
14.11, 6.275, 3
20.01, 4.438, 2
43.30, 2.090, 97
43.65, 2.074, 100
74.22, 1.278, 38
74.31, 1.276, 25
75.27, 1.262, 12
89.45, 1.096, 4
89.63, 1.094, 4
89.78, 1.092, 7

***

# 2
Diffraction record for Sm5Tm2In. The X-ray diffraction stick pattern is computed, not measured: it uses a cell relaxed with PBE and Cu Kα (λ = 1.5418 Å).

Structure:
a b c (Å): 6.6896 6.6934 7.1212
angles (deg): 106.11 105.19 115.21
Fractional coordinates of all 8 atoms:
Sm1 0.0000 0.0000 0.0000
Sm2 0.0228 0.9926 0.5144
Sm3 0.1145 0.5814 0.1658
Sm4 0.5226 0.4914 0.5140
Sm5 0.5846 0.0515 0.1660
Tm1 0.1060 0.5751 0.6794
Tm2 0.5318 0.4737 0.0050
In1 0.5954 0.0694 0.6657

Most intense lines, 2θ from 10° to 90°, sorted by position:
Position (°2θ), d (Å), Rel. int.
28.82, 3.098, 30
29.03, 3.076, 18
31.67, 2.825, 49
32.90, 2.722, 68
33.04, 2.711, 100
33.31, 2.690, 31
43.24, 2.092, 15
51.32, 1.780, 25
57.09, 1.613, 20
61.27, 1.513, 29

***

# 3
Diffraction record for Mg2CdS3. The X-ray diffraction stick pattern is computed, not measured: it uses a cell relaxed with PBE and Cu Kα (λ = 1.5418 Å).

Structure:
a b c (Å): 13.5295 7.0696 12.8951
angles (deg): 79.50 30.92 69.58
Fractional coordinates of all 24 atoms:
Mg1 0.0000 0.0000 0.0000
Mg2 0.2500 0.2500 0.2500
Mg3 0.3330 0.6646 0.3350
Mg4 0.4993 0.4993 0.5007
Mg5 0.5826 0.9150 0.5854
Mg6 0.6646 0.3330 0.6674
Mg7 0.7493 0.7493 0.7507
Mg8 0.9150 0.5826 0.9170
Cd1 0.0822 0.4161 0.0814
Cd2 0.1686 0.8296 0.1678
Cd3 0.4161 0.0822 0.4204
Cd4 0.8296 0.1686 0.8339
S1 0.0364 0.2141 0.3010
S2 0.1240 0.6161 0.3834
S3 0.2141 0.0364 0.4485
S4 0.2865 0.4689 0.5477
S5 0.3736 0.8666 0.6339
S6 0.4689 0.2865 0.6969
S7 0.5531 0.7023 0.7811
S8 0.6161 0.1240 0.8764
S9 0.7023 0.5531 0.9635
S10 0.8015 0.9490 0.0359
S11 0.8666 0.3736 0.1260
S12 0.9490 0.8015 0.2136

Most intense lines, 2θ from 10° to 90°, sorted by position:
Position (°2θ), d (Å), Rel. int.
13.78, 6.426, 10
17.19, 5.159, 26
26.77, 3.331, 100
27.86, 3.202, 10
35.68, 2.516, 11
42.16, 2.143, 9
44.41, 2.040, 66
52.62, 1.739, 41
71.24, 1.324, 13
81.76, 1.178, 13

***

# 4
Diffraction record for Cs2SrGaI6. The X-ray diffraction stick pattern is computed, not measured: it uses a cell relaxed with PBE and Cu Kα (λ = 1.5418 Å).

Structure:
a b c (Å): 8.6250 8.6310 8.8116
angles (deg): 119.22 119.26 90.04
Fractional coordinates of all 10 atoms:
Cs1 0.0000 0.0000 0.0000
Cs2 0.4999 0.4955 0.0004
Sr1 0.2499 0.7478 0.5003
Ga1 0.7500 0.2478 0.5003
I1 0.0477 0.4284 0.5016
I2 0.4524 0.0671 0.4989
I3 0.5088 0.0108 0.0186
I4 0.5717 0.5465 0.5042
I5 0.9281 0.9490 0.4965
I6 0.9921 0.4853 0.9821

Most intense lines, 2θ from 10° to 90°, sorted by position:
Position (°2θ), d (Å), Rel. int.
20.59, 4.314, 14
24.10, 3.693, 42
24.93, 3.572, 100
28.02, 3.184, 49
29.28, 3.050, 57
31.32, 2.856, 23
35.80, 2.508, 17
40.97, 2.203, 45
43.84, 2.065, 17
47.11, 1.929, 14